[1]
Calculated PXRD pattern of Ce2TmCd6 for CuKα, from the PBE geometry in Alexandria.

Structure:
Unit cell a=8.7911 b=8.7911 c=3.3053 alpha=90.00 beta=90.00 gamma=120.00
Sites, in units of the cell vectors:
Ce1 0.3333 0.6667 0.0000
Ce2 0.6667 0.3333 0.0000
Tm1 0.0000 0.0000 0.0000
Cd1 0.0000 0.3294 0.5000
Cd2 0.0000 0.6706 0.5000
Cd3 0.3294 0.0000 0.5000
Cd4 0.3294 0.3294 0.5000
Cd5 0.6706 0.0000 0.5000
Cd6 0.6706 0.6706 0.5000

Principal peaks in the range 2θ from 15° to 90°, by intensity:
two_theta  I_rel
33.9  100
35.4  92
49.8  33
62.6  33
67.7  26
63.5  16
84.8  14
89.4  13
74.8  10
55.6  8



[2]
Calculated PXRD pattern of CeTm2Cd for CuKα, from the PBE geometry in Alexandria.

Structure:
Unit cell a=10.8722 b=10.8722 c=10.8722 alpha=18.39 beta=18.39 gamma=18.39
Sites, in units of the cell vectors:
Ce1 0.0000 0.0000 0.0000
Tm1 0.2455 0.2455 0.2455
Tm2 0.7545 0.7545 0.7545
Cd1 0.5000 0.5000 0.5000

Principal peaks in the range 2θ from 15° to 90°, by intensity:
two_theta  I_rel
31.8  100
37.4  63
33.5  27
63.9  25
52.7  24
55.1  19
62.8  14
86.4  12
66.4  12
89.6  11